1.
Diffraction record for SbH7F12. The powder diffractogram is simulated, not measured: it uses a crystal structure in the Materials Project, relaxed with PBE and CuKα.

Main lines, in order of rising 2θ (2θ = 10–80°):
h k l, 2θ (°), I_rel
2 0 0, 12.75, 82.9
1 1 0, 15.23, 100.0
0 0 1, 18.09, 22.6
2 0 -1, 18.33, 32.7
1 1 -1, 22.00, 61.0
3 1 0, 23.71, 44.6
1 1 1, 25.34, 54.4
3 1 -1, 25.68, 56.1
0 2 0, 27.84, 39.6
2 2 1, 38.11, 43.5
4 2 0, 38.22, 21.0
6 0 -2, 43.90, 24.5

Structural model:
Cell lengths 14.7361, 6.4085, 5.2045 Å; angles 90.00, 109.54, 90.00 degrees
Space group C2 (No. 5)
Asymmetric unit:
Sb: 0.0000 0.0000 0.0000 (multiplicity 2)
H: 0.0000 0.4993 0.5000 (multiplicity 2)
H: 0.1325 0.4984 0.6420 (multiplicity 4)
H: 0.1885 0.9854 0.8008 (multiplicity 4)
H: 0.2239 0.4887 0.4297 (multiplicity 4)
F: 0.0684 0.4997 0.6903 (multiplicity 4)
F: 0.0760 0.2082 0.2371 (multiplicity 4)
F: 0.0763 0.7911 0.2353 (multiplicity 4)
F: 0.0891 0.0011 0.7920 (multiplicity 4)
F: 0.2157 0.4992 0.6155 (multiplicity 4)
F: 0.2430 0.4766 0.1906 (multiplicity 4)

=====

2.
Diffraction record for Sb2HF13. The powder diffractogram is simulated, not measured: it uses a crystal structure in the Materials Project, relaxed with PBE and CuKα.

Main lines, in order of rising 2θ (2θ = 10–80°):
h k l, 2θ (°), I_rel
0 1 -1, 14.32, 100.0
1 0 -1, 19.34, 31.7
1 -1 0, 20.18, 68.9
1 1 -1, 21.89, 52.9
1 0 1, 22.12, 46.4
0 1 1, 23.23, 73.0
0 2 -1, 25.73, 31.0
0 0 2, 25.87, 28.9
1 -1 2, 29.39, 18.3
2 1 -2, 39.28, 25.3
1 -3 1, 41.31, 31.5
1 0 3, 44.87, 21.6

Structural model:
Cell lengths 5.5244, 6.9502, 7.7331 Å; angles 115.99, 94.81, 94.91 degrees
Space group P-1 (No. 2)
Asymmetric unit:
Sb: 0.1819 0.1541 0.2817 (multiplicity 2)
H: 0.5000 0.5000 0.0000 (multiplicity 1)
F: 0.0000 0.0000 0.0000 (multiplicity 1)
F: 0.0636 0.4074 0.2915 (multiplicity 2)
F: 0.1162 0.9204 0.6406 (multiplicity 2)
F: 0.2783 0.8824 0.2322 (multiplicity 2)
F: 0.3205 0.4153 0.8996 (multiplicity 2)
F: 0.3538 0.2977 0.5378 (multiplicity 2)
F: 0.4580 0.2158 0.1730 (multiplicity 2)

=====

3.
Diffraction record for HfF4. The powder diffractogram is simulated, not measured: it uses a crystal structure in the Materials Project, relaxed with PBE and CuKα.

Main lines, in order of rising 2θ (2θ = 10–80°):
h k l, 2θ (°), I_rel
0 2 1, 22.85, 100.0
3 1 -1, 24.38, 57.4
2 2 0, 25.83, 93.8
3 1 -2, 27.19, 39.4
0 0 2, 28.53, 23.2
1 3 -1, 29.34, 66.4
2 4 1, 47.21, 31.7
1 3 -3, 47.52, 26.4
5 3 -1, 49.15, 20.4
4 2 -4, 50.87, 38.9
6 0 -4, 52.68, 20.4
3 7 -2, 71.77, 15.6

Structural model:
Cell lengths 11.8260, 9.9518, 7.7213 Å; angles 90.00, 125.90, 90.00 degrees
Space group C2/c (No. 15)
Asymmetric unit:
Hf: 0.0000 0.2141 0.2500 (multiplicity 4)
Hf: 0.2053 0.4288 0.8332 (multiplicity 8)
F: 0.0000 0.3936 0.7500 (multiplicity 4)
F: 0.1089 0.2933 0.5758 (multiplicity 8)
F: 0.1176 0.0550 0.4558 (multiplicity 8)
F: 0.1182 0.3794 0.2827 (multiplicity 8)
F: 0.1232 0.1532 0.1500 (multiplicity 8)
F: 0.2122 0.4707 0.1066 (multiplicity 8)
F: 0.2500 0.2500 0.0000 (multiplicity 4)